Cs8Au3Br5: computed powder X-ray diffraction pattern (Cu Kα), based on the PBE geometry in Alexandria.
Intensities are scaled so that the largest is 100.

Cell and atoms:
abc: 12.4173 12.4173 15.1893
angles: 90.00 90.00 120.00
Space group R-3m (No. 166, hexagonal axes)
Symmetry-distinct sites (fractional):
1 Cs 0.0000 0.0000 0.2489
2 Cs 0.0006 0.5003 0.7497
3 Au 0.0000 0.5000 0.0000
4 Br 0.0000 0.0000 0.0000
5 Br 0.0000 0.0000 0.5000
6 Br 0.0000 0.5000 0.5000

The 10 most intense peaks (10 to 90 degrees two-theta), sorted by position:
17.50°, intensity 6
28.77°, intensity 100
33.87°, intensity 4
41.14°, intensity 19
50.97°, intensity 40
59.59°, intensity 13
67.49°, intensity 17
74.97°, intensity 4
82.17°, intensity 16
82.25°, intensity 5